[1]
# TbCe2Er3Se6
Computed X-ray powder pattern, copper Kα. Input: a cell relaxed with GGA-PBE.
Kinematic intensities with the Lorentz-polarization factor, no thermal factor.

Principal peaks in the range 2θ from 10° to 90°, sorted by position:
2θ 26.74, d = 3.334 Å, rel. 15
2θ 30.83, d = 2.900 Å, rel. 100
2θ 43.87, d = 2.064 Å, rel. 37
2θ 44.47, d = 2.037 Å, rel. 36
2θ 55.05, d = 1.668 Å, rel. 13
2θ 64.24, d = 1.450 Å, rel. 12
2θ 72.51, d = 1.304 Å, rel. 17
2θ 73.37, d = 1.290 Å, rel. 11

Structural model:
Lattice parameters (Å, degrees): 7.0610 7.0610 7.1838 99.44 99.44 120.10
Sites, in units of the cell vectors:
1 Tb 0.0000 0.0000 0.0000
2 Ce 0.3337 0.6663 0.0000
3 Ce 0.6663 0.3337 0.0000
4 Er 0.1670 0.8330 0.5000
5 Er 0.5000 0.5000 0.5000
6 Er 0.8330 0.1670 0.5000
7 Se 0.0871 0.4161 0.2619
8 Se 0.2413 0.2413 0.7377
9 Se 0.4161 0.0871 0.2619
10 Se 0.5839 0.9129 0.7381
11 Se 0.7587 0.7587 0.2623
12 Se 0.9129 0.5839 0.7381

[2]
# La4SmTl2
Computed X-ray powder pattern, copper Kα. Input: a cell relaxed with GGA-PBE.
Kinematic intensities with the Lorentz-polarization factor, no thermal factor.

Principal peaks in the range 2θ from 10° to 90°, sorted by position:
2θ 30.33, d = 2.947 Å, rel. 100
2θ 30.56, d = 2.925 Å, rel. 34
2θ 30.73, d = 2.910 Å, rel. 55
2θ 31.04, d = 2.881 Å, rel. 43
2θ 32.53, d = 2.752 Å, rel. 98
2θ 33.87, d = 2.646 Å, rel. 63
2θ 34.25, d = 2.618 Å, rel. 70
2θ 34.73, d = 2.583 Å, rel. 70

Structural model:
Lattice parameters (Å, degrees): 6.7648 5.5048 6.8599 90.00 118.37 90.00
Sites, in units of the cell vectors:
1 La 0.0485 0.0000 0.3067
2 La 0.2094 0.5000 0.8608
3 La 0.7906 0.5000 0.1392
4 La 0.9515 0.0000 0.6933
5 Sm 0.5000 0.5000 0.5000
6 Tl 0.4812 0.0000 0.2086
7 Tl 0.5188 0.0000 0.7914